# Sm5In2Hg
Simulated powder diffraction line list, copper Kα. Input: the GGA-PBE geometry in Alexandria.

The 8 most intense peaks (5° ≤ 2θ ≤ 70°), most intense first:
2θ/deg  d_spacing  I/Imax
31.96  2.800  1000
35.77  2.510  369
61.89  1.499  300
54.40  1.687  221
39.58  2.277  140
51.48  1.775  131
66.82  1.400  119
67.05  1.396  118

Structure:
a b c (Å): 7.1006 7.1006 9.1082
angles (deg): 90.00 90.00 90.00
Space group I4/mmm (No. 139)
Symmetry-distinct sites (fractional):
Sm  0.0000  0.0000  0.0000 [2 per cell]
Sm  0.2500  0.2500  0.2500 [8 per cell]
In  0.0000  0.5000  0.0000 [4 per cell]
Hg  0.0000  0.0000  0.5000 [2 per cell]